Entry 1:
Theoretical X-ray diffraction stick pattern
Compound: Ca3Ni6P5
Radiation: Cu Kα
Structure: a cell relaxed with PBE

Structural model:
```
28
Lattice="3.7673 0.0000 0.0000 0.0000 11.6249 0.0000 0.0000 0.0000 9.5393" Properties=species:S:1:pos:R:3 pbc="T T T"
Ca 0.9418 1.1132 2.3873
Ca 0.9418 4.6992 2.3873
Ca 0.9418 8.7187 2.3290
Ca 2.8255 2.9062 7.2103
Ca 2.8255 6.9257 7.1520
Ca 2.8255 10.5117 7.1520
Ni 0.9418 0.6719 8.5303
Ni 0.9418 2.9062 0.0498
Ni 0.9418 2.9062 4.9863
Ni 0.9418 5.1406 8.5303
Ni 0.9418 6.7264 4.6752
Ni 0.9418 10.7110 4.6752
Ni 2.8255 0.9139 4.8641
Ni 2.8255 4.8985 4.8641
Ni 2.8255 6.4843 1.0090
Ni 2.8255 8.7187 4.5530
Ni 2.8255 8.7187 9.4895
Ni 2.8255 10.9530 1.0090
P 0.9418 0.8854 6.1556
P 0.9418 4.9270 6.1556
P 0.9418 7.2630 9.4118
P 0.9418 8.7187 5.7487
P 0.9418 10.1744 9.4118
P 2.8255 1.4505 0.1275
P 2.8255 2.9062 3.7906
P 2.8255 4.3619 0.1275
P 2.8255 6.6979 3.3838
P 2.8255 10.7395 3.3838
```

Peak list (10 most intense, 2θ = 10–80°, sorted by position)
2θ 18.60, intensity 46
2θ 34.02, intensity 14
2θ 36.56, intensity 27
2θ 36.99, intensity 33
2θ 38.29, intensity 100
2θ 46.90, intensity 41
2θ 48.32, intensity 34
2θ 51.09, intensity 31
2θ 68.48, intensity 20
2θ 69.61, intensity 14


Entry 2:
Theoretical X-ray diffraction stick pattern
Compound: Th2MgTlC
Radiation: Cu Kα
Structure: a cell relaxed with PBE

Structural model:
```
10
Lattice="4.0185 0.0000 0.0000 0.0000 4.0185 0.0000 0.0000 0.0000 15.0577" Properties=species:S:1:pos:R:3 pbc="T T T"
Th 1.0046 1.0046 1.2151
Th 1.0046 1.0046 11.4517
Th 3.0139 3.0139 3.6059
Th 3.0139 3.0139 13.8426
Mg 1.0046 3.0139 7.5288
Mg 3.0139 1.0046 7.5288
Tl 1.0046 1.0046 5.3481
Tl 3.0139 3.0139 9.7095
C 1.0046 1.0046 13.8259
C 3.0139 3.0139 1.2317
```

Peak list (10 most intense, 2θ = 10–80°, sorted by position)
2θ 28.45, intensity 100
2θ 31.48, intensity 59
2θ 32.59, intensity 32
2θ 37.31, intensity 16
2θ 45.12, intensity 26
2θ 48.39, intensity 11
2θ 53.42, intensity 16
2θ 54.21, intensity 35
2θ 56.76, intensity 14
2θ 63.34, intensity 12


Entry 3:
Theoretical X-ray diffraction stick pattern
Compound: Li2TiRh2
Radiation: Cu Kα
Structure: a cell relaxed with PBE

Structural model:
```
10
Lattice="3.0213 0.0000 0.0000 0.0000 17.4496 0.0000 0.0000 0.0000 2.9882" Properties=species:S:1:pos:R:3 pbc="T T T"
Li 0.0000 3.1349 0.0000
Li 0.0000 14.3148 0.0000
Li 1.5107 5.5900 0.0000
Li 1.5107 11.8597 0.0000
Ti 0.0000 0.0000 0.0000
Ti 1.5107 8.7248 0.0000
Rh 0.0000 7.2114 1.4941
Rh 0.0000 10.2382 1.4941
Rh 1.5107 1.5134 1.4941
Rh 1.5107 15.9363 1.4941
```

Peak list (10 most intense, 2θ = 10–80°, sorted by position)
2θ 10.14, intensity 100
2θ 29.90, intensity 10
2θ 30.02, intensity 13
2θ 30.74, intensity 9
2θ 36.45, intensity 13
2θ 39.45, intensity 23
2θ 42.88, intensity 32
2θ 43.42, intensity 20
2θ 47.27, intensity 10
2θ 74.67, intensity 7